The following is a calculated XRD peak list of KCdSnSe3. It was derived from a cell relaxed with GGA-PBE, using Cu Ka.

Atomic structure:
```
KCdSnSe3
1.0
9.302 0.000 0.000
0.000 4.153 0.000
-2.596 0.000 9.807
K Cd Sn Se
2 2 2 6
Direct
0.204 0.250 0.243
0.796 0.750 0.757
0.091 0.250 0.613
0.909 0.750 0.387
0.339 0.750 0.881
0.661 0.250 0.119
0.125 0.250 0.883
0.213 0.750 0.516
0.457 0.750 0.156
0.543 0.250 0.844
0.787 0.250 0.484
0.875 0.750 0.117
```

Largest 12 diffraction maxima, by intensity, 10° ≤ 2θ ≤ 90°:
Position (°2θ)  I/Imax
11.52  100.0
29.27  42.7
29.11  34.4
34.33  28.1
43.14  24.4
31.42  22.2
43.58  19.5
36.18  19.4
44.93  15.2
27.28  12.0
28.27  9.7
54.71  8.6